1.
# Ce5TlIn2
Simulated powder XRD pattern, Cu Kα (λ = 1.5418 Å). Input: DFT lattice parameters and positions (GGA-PBE).
No peak broadening, texture or thermal motion is included.

Cell and atoms:
```
Ce5TlIn2
1.0
2.761 -5.839 0.000
2.761 5.839 0.000
0.000 0.000 14.049
Ce Tl In
10 2 4
direct
0.030 0.970 0.750
0.105 0.895 0.028
0.105 0.895 0.472
0.419 0.581 0.067
0.419 0.581 0.433
0.581 0.419 0.567
0.581 0.419 0.933
0.895 0.105 0.528
0.895 0.105 0.972
0.970 0.030 0.250
0.254 0.746 0.250
0.746 0.254 0.750
0.306 0.694 0.643
0.306 0.694 0.857
0.694 0.306 0.143
0.694 0.306 0.357
```

Main lines, low angle first (2θ = 5–70°):
- 2θ 19.77, intensity 28.0
- 2θ 30.85, intensity 21.9
- 2θ 31.14, intensity 40.0
- 2θ 31.29, intensity 13.9
- 2θ 32.43, intensity 71.1
- 2θ 33.23, intensity 39.8
- 2θ 34.07, intensity 100.0
- 2θ 36.70, intensity 64.3
- 2θ 47.12, intensity 30.3
- 2θ 54.02, intensity 17.1
- 2θ 58.91, intensity 20.7
- 2θ 60.67, intensity 14.8

=====

2.
# PuIn6Ag
Simulated powder XRD pattern, Cu Kα (λ = 1.5418 Å). Input: DFT lattice parameters and positions (GGA-PBE).
No peak broadening, texture or thermal motion is included.

Cell and atoms:
```
PuIn6Ag
1.0
3.888 -5.329 0.000
3.888 5.329 0.000
0.000 0.000 4.847
Pu In Ag
1 6 1
direct
0.000 0.000 0.000
0.000 0.500 0.000
0.211 0.789 0.500
0.297 0.297 0.500
0.500 0.000 0.000
0.703 0.703 0.500
0.789 0.211 0.500
0.500 0.500 0.000
```

Main lines, low angle first (2θ = 5–70°):
- 2θ 23.18, intensity 4.6
- 2θ 33.33, intensity 13.1
- 2θ 33.64, intensity 24.0
- 2θ 34.01, intensity 100.0
- 2θ 35.65, intensity 5.9
- 2θ 37.09, intensity 22.5
- 2θ 46.73, intensity 8.6
- 2θ 50.93, intensity 14.6
- 2θ 58.80, intensity 6.7
- 2θ 60.40, intensity 12.4
- 2θ 61.11, intensity 7.6
- 2θ 64.90, intensity 14.9